Diffraction record for YGa6Co2. The X-ray powder pattern is simulated, not measured: it uses a crystal structure in Alexandria, relaxed with PBE and λ = 1.5418 Å (Cu Kα).
Peak positions follow from Bragg's law for the DFT cell and can differ from measured ones.

Cell and atoms:
a b c (Å): 11.420 11.420 11.420
angles (deg): 90.00 90.00 90.00
Space group Fd-3m (No. 227, origin choice 2)
Unique sites:
Y (0.125, 0.125, 0.125) x8
Ga (0.102, 0.375, 0.875) x48
Co (0.000, 0.000, 0.500) x16

The 6 most intense peaks (2θ = 15–90°), low angle first:
| h k l | 2theta | d [Å] | I/Imax |
| --- | --- | --- | --- |
| 3 1 1 | 25.88 | 3.443 | 49 |
| 4 0 0 | 31.33 | 2.855 | 55 |
| 3 3 3 | 41.07 | 2.198 | 16 |
| 4 4 0 | 44.90 | 2.019 | 100 |
| 7 3 1 | 62.47 | 1.487 | 23 |
| 8 4 4 | 82.82 | 1.166 | 23 |

Diffraction record for Ba4Bi2Pt. The X-ray powder pattern is simulated, not measured: it uses a crystal structure in Alexandria, relaxed with PBE and λ = 1.5418 Å (Cu Kα).
Peak positions follow from Bragg's law for the DFT cell and can differ from measured ones.

Cell and atoms:
```
data_Ba4Bi2Pt
_cell_length_a 5.896
_cell_length_b 5.896
_cell_length_c 18.532
_cell_angle_alpha 90.00
_cell_angle_beta 90.00
_cell_angle_gamma 90.00
_symmetry_space_group_name_H-M 'I 4/m m m'
_symmetry_Int_Tables_number 139
_symmetry_space_group_name_Hall '-I 4 2'
loop_
_atom_site_label
_atom_site_fract_x
_atom_site_fract_y
_atom_site_fract_z
Ba1 0.000 0.000 0.179
Ba2 0.000 0.500 0.000
Bi1 0.000 0.000 0.367
Pt1 0.000 0.000 0.000
```

The 6 most intense peaks (2θ = 15–90°), low angle first:
| h k l | 2theta | d [Å] | I/Imax |
| --- | --- | --- | --- |
| 1 1 0 | 21.31 | 4.169 | 67 |
| 1 0 5 | 28.44 | 3.138 | 69 |
| 0 0 6 | 28.84 | 3.095 | 80 |
| 2 0 0 | 30.32 | 2.948 | 100 |
| 2 1 5 | 42.06 | 2.148 | 49 |
| 2 0 6 | 42.39 | 2.132 | 41 |